(1)
Diffraction record for Rh2C3N6. The X-ray diffraction stick pattern is computed, not measured: it uses a DFT-relaxed cell (PBE, Alexandria) and CuKα.
No peak broadening, texture or thermal motion is included.

Largest 10 diffraction maxima, in order of rising 2θ, 10 to 90 degrees two-theta:
2theta	d [Å]	intensity
18.96	4.682	61
19.35	4.587	72
22.27	3.993	55
31.94	2.802	37
37.40	2.404	100
50.82	1.797	42
56.92	1.618	24
60.55	1.529	17
68.87	1.363	16
70.11	1.342	15

Structure:
```
Rh2C3N6
1.0
2.802 1.618 9.363
-2.802 1.618 9.363
0.000 -3.236 9.363
Rh C N
4 6 12
Direct
0.165 0.165 0.165
0.335 0.335 0.335
0.665 0.665 0.665
0.835 0.835 0.835
0.070 0.750 0.430
0.250 0.570 0.930
0.430 0.070 0.750
0.570 0.930 0.250
0.750 0.430 0.070
0.930 0.250 0.570
0.042 0.662 0.416
0.084 0.838 0.458
0.162 0.542 0.916
0.338 0.584 0.958
0.416 0.042 0.662
0.458 0.084 0.838
0.542 0.916 0.162
0.584 0.958 0.338
0.662 0.416 0.042
0.838 0.458 0.084
0.916 0.162 0.542
0.958 0.338 0.584
```


(2)
Diffraction record for GaHg6. The X-ray diffraction stick pattern is computed, not measured: it uses a DFT-relaxed cell (PBE, Alexandria) and CuKα.
No peak broadening, texture or thermal motion is included.

Largest 10 diffraction maxima, in order of rising 2θ, 10 to 90 degrees two-theta:
2theta	d [Å]	intensity
33.02	2.713	54
33.54	2.672	53
33.72	2.658	100
35.08	2.558	97
47.77	1.904	39
58.52	1.577	21
60.07	1.540	19
60.96	1.520	20
61.19	1.515	18
62.50	1.486	17

Structure:
```
GaHg6
1.0
4.613 -2.672 0.000
4.613 2.672 0.000
-3.701 0.000 7.373
Ga Hg
1 6
Direct
0.000 0.000 0.000
0.134 0.134 0.417
0.297 0.297 0.856
0.415 0.415 0.284
0.585 0.585 0.716
0.703 0.703 0.144
0.866 0.866 0.583
```


(3)
Diffraction record for UPd5Au2. The X-ray diffraction stick pattern is computed, not measured: it uses a DFT-relaxed cell (PBE, Alexandria) and CuKα.
No peak broadening, texture or thermal motion is included.

Largest 10 diffraction maxima, in order of rising 2θ, 10 to 90 degrees two-theta:
2theta	d [Å]	intensity
37.68	2.387	100
38.49	2.339	97
43.18	2.095	68
46.39	1.957	28
61.57	1.506	12
65.23	1.430	40
75.00	1.266	26
76.56	1.244	26
80.16	1.197	11
80.67	1.191	11

Structure:
```
UPd5Au2
1.0
0.000 3.915 6.025
2.916 0.000 6.025
2.916 3.915 0.000
U Pd Au
1 5 2
Direct
0.000 0.000 0.000
0.124 0.124 0.376
0.376 0.376 0.124
0.500 0.500 0.500
0.624 0.624 0.876
0.876 0.876 0.624
0.257 0.257 0.743
0.743 0.743 0.257
```


(4)
Diffraction record for ThSnAu3. The X-ray diffraction stick pattern is computed, not measured: it uses a DFT-relaxed cell (PBE, Alexandria) and CuKα.
No peak broadening, texture or thermal motion is included.

Largest 10 diffraction maxima, in order of rising 2θ, 10 to 90 degrees two-theta:
2theta	d [Å]	intensity
26.35	3.382	13
31.31	2.857	20
32.47	2.758	100
35.51	2.528	27
38.55	2.335	37
41.49	2.177	16
43.38	2.086	29
49.37	1.846	18
64.33	1.448	17
65.94	1.417	14

Structure:
```
ThSnAu3
1.0
2.335 -13.530 0.000
2.335 13.530 0.000
0.000 0.000 3.692
Th Sn Au
2 2 6
Direct
0.176 0.824 0.000
0.824 0.176 0.000
0.379 0.621 0.500
0.621 0.379 0.500
0.054 0.946 0.500
0.276 0.724 0.500
0.451 0.549 0.000
0.549 0.451 0.000
0.724 0.276 0.500
0.946 0.054 0.500
```


(5)
Diffraction record for Na8B11C5. The X-ray diffraction stick pattern is computed, not measured: it uses a DFT-relaxed cell (PBE, Alexandria) and CuKα.
No peak broadening, texture or thermal motion is included.

Largest 10 diffraction maxima, in order of rising 2θ, 10 to 90 degrees two-theta:
2theta	d [Å]	intensity
35.93	2.500	18
41.86	2.158	100
42.29	2.137	25
56.66	1.624	10
64.57	1.443	17
68.64	1.367	2
76.16	1.250	2
77.04	1.238	12
79.98	1.200	11
80.26	1.196	17

Structure:
```
Na8B11C5
1.0
2.886 0.000 0.000
-1.443 2.500 0.000
0.000 0.000 34.194
Na B C
8 11 5
Direct
0.000 0.000 0.061
0.000 0.000 0.185
0.000 0.000 0.312
0.000 0.000 0.436
0.000 0.000 0.564
0.000 0.000 0.688
0.000 0.000 0.815
0.000 0.000 0.939
0.333 0.667 0.123
0.333 0.667 0.249
0.333 0.667 0.374
0.333 0.667 0.500
0.333 0.667 0.626
0.333 0.667 0.751
0.333 0.667 0.877
0.667 0.333 0.000
0.667 0.333 0.249
0.667 0.333 0.500
0.667 0.333 0.751
0.333 0.667 0.000
0.667 0.333 0.123
0.667 0.333 0.374
0.667 0.333 0.626
0.667 0.333 0.877
```


(6)
Diffraction record for KHo6Te8. The X-ray diffraction stick pattern is computed, not measured: it uses a DFT-relaxed cell (PBE, Alexandria) and CuKα.
No peak broadening, texture or thermal motion is included.

Largest 10 diffraction maxima, in order of rising 2θ, 10 to 90 degrees two-theta:
2theta	d [Å]	intensity
10.51	8.419	100
23.31	3.816	26
25.48	3.495	17
25.78	3.456	31
31.41	2.848	27
33.32	2.689	17
34.00	2.637	26
35.25	2.546	62
39.58	2.277	25
45.63	1.988	20

Structure:
```
KHo6Te8
1.0
6.054 3.495 4.708
-6.054 3.495 4.708
0.000 -6.990 4.708
K Ho Te
1 6 8
Direct
0.000 0.000 0.000
0.202 0.397 0.563
0.397 0.563 0.202
0.437 0.798 0.603
0.563 0.202 0.397
0.603 0.437 0.798
0.798 0.603 0.437
0.136 0.716 0.395
0.243 0.243 0.243
0.284 0.605 0.864
0.395 0.136 0.716
0.605 0.864 0.284
0.716 0.395 0.136
0.757 0.757 0.757
0.864 0.284 0.605
```